Diffraction record for Pr3BiIr. The PXRD pattern is simulated, not measured: it uses a crystal structure in OQMD, relaxed with PBE and Cu Kα.
Peak positions follow from Bragg's law for the DFT cell and can differ from measured ones.

Cell and atoms:
```
Pr3BiIr
1.0
2.2014 -6.7071 0.0000
2.2014 6.7071 0.0000
0.0000 0.0000 10.8151
Pr Bi Ir
6 2 2
Direct
0.0687 0.9313 0.7500 Pr
0.3635 0.6365 0.5449 Pr
0.3635 0.6365 0.9551 Pr
0.6365 0.3635 0.0449 Pr
0.6365 0.3635 0.4551 Pr
0.9313 0.0687 0.2500 Pr
0.2404 0.7595 0.2500 Bi
0.7595 0.2404 0.7500 Bi
0.0000 0.0000 0.0000 Ir
0.0000 0.0000 0.5000 Ir
```

Main lines, sorted by position (2θ = 10–90°):
4.210 Å, intensity 54.8
3.137 Å, intensity 70.4
3.013 Å, intensity 100.0
2.731 Å, intensity 49.9
2.714 Å, intensity 78.4
2.704 Å, intensity 55.6
2.201 Å, intensity 48.5
2.066 Å, intensity 43.6
1.781 Å, intensity 36.4
1.506 Å, intensity 37.1


Diffraction record for Dy3Tm3NiTe2. The PXRD pattern is simulated, not measured: it uses a crystal structure in OQMD, relaxed with PBE and Cu Kα.
Peak positions follow from Bragg's law for the DFT cell and can differ from measured ones.

Cell and atoms:
```
Dy3Tm3NiTe2
1.0
8.3595 0.0000 0.0000
-4.1798 7.2396 0.0000
0.0000 0.0000 3.8510
Dy Tm Ni Te
3 3 1 2
Direct
0.0000 0.7596 0.0000 Dy
0.2404 0.2404 0.0000 Dy
0.7596 0.0000 0.0000 Dy
0.0000 0.4007 0.5000 Tm
0.4007 0.0000 0.5000 Tm
0.5993 0.5993 0.5000 Tm
0.0000 0.0000 0.5000 Ni
0.3333 0.6667 0.0000 Te
0.6667 0.3333 0.0000 Te
```

Main lines, sorted by position (2θ = 10–90°):
2.832 Å, intensity 100.0
2.736 Å, intensity 70.2
2.638 Å, intensity 63.9
2.413 Å, intensity 30.1
2.231 Å, intensity 25.6
1.925 Å, intensity 18.5
1.780 Å, intensity 19.7
1.575 Å, intensity 26.8
1.525 Å, intensity 27.6
1.505 Å, intensity 13.7


Diffraction record for Li3ErBiSb. The PXRD pattern is simulated, not measured: it uses a crystal structure in OQMD, relaxed with PBE and Cu Kα.
Peak positions follow from Bragg's law for the DFT cell and can differ from measured ones.

Cell and atoms:
```
Li3ErBiSb
1.0
4.5557 0.0000 0.0000
-2.2778 3.9453 0.0000
0.0000 0.0000 7.1334
Li Er Bi Sb
3 1 1 1
Direct
0.0000 0.0000 0.0000 Li
0.3333 0.6667 0.1491 Li
0.6667 0.3333 0.8476 Li
0.0000 0.0000 0.5081 Er
0.6667 0.3333 0.2575 Bi
0.3333 0.6667 0.7501 Sb
```

Main lines, sorted by position (2θ = 10–90°):
7.133 Å, intensity 26.8
3.452 Å, intensity 100.0
2.646 Å, intensity 57.0
2.278 Å, intensity 40.8
2.037 Å, intensity 25.0
1.901 Å, intensity 19.2
1.726 Å, intensity 16.2
1.460 Å, intensity 16.4
1.404 Å, intensity 16.5
1.376 Å, intensity 15.4


Diffraction record for La2Pr2CBr2Cl3. The PXRD pattern is simulated, not measured: it uses a crystal structure in OQMD, relaxed with PBE and Cu Kα.
Peak positions follow from Bragg's law for the DFT cell and can differ from measured ones.

Cell and atoms:
```
La2Pr2CBr2Cl3
1.0
9.2809 -1.9855 0.0000
9.2809 1.9855 0.0000
-2.1169 0.0000 8.0249
La Pr C Br Cl
2 2 1 2 3
Direct
0.0002 0.0002 0.2169 La
0.9998 0.9998 0.7831 La
0.3577 0.3577 0.9150 Pr
0.6423 0.6423 0.0850 Pr
0.5000 0.5000 0.0000 C
0.1715 0.1715 0.8312 Br
0.8285 0.8285 0.1688 Br
0.1616 0.1616 0.3405 Cl
0.5000 0.5000 0.5000 Cl
0.8384 0.8384 0.6595 Cl
```

Main lines, sorted by position (2θ = 10–90°):
8.025 Å, intensity 84.3
2.991 Å, intensity 44.8
2.868 Å, intensity 100.0
2.684 Å, intensity 17.6
2.663 Å, intensity 22.0
2.094 Å, intensity 25.8
2.074 Å, intensity 15.6
2.047 Å, intensity 30.8
1.985 Å, intensity 18.5
1.655 Å, intensity 22.4


Diffraction record for BaLiErTe3. The PXRD pattern is simulated, not measured: it uses a crystal structure in OQMD, relaxed with PBE and Cu Kα.
Peak positions follow from Bragg's law for the DFT cell and can differ from measured ones.

Cell and atoms:
```
BaLiErTe3
1.0
2.2627 -7.4814 0.0000
2.2627 7.4814 0.0000
0.0000 0.0000 11.4144
Ba Li Er Te
2 2 2 6
Direct
0.2500 0.7500 0.7500 Ba
0.7500 0.2500 0.2500 Ba
0.0295 0.9705 0.2500 Li
0.9705 0.0295 0.7500 Li
0.5000 0.5000 0.0000 Er
0.5000 0.5000 0.5000 Er
0.1360 0.8640 0.0546 Te
0.1360 0.8640 0.4454 Te
0.4275 0.5725 0.2500 Te
0.5725 0.4275 0.7500 Te
0.8640 0.1360 0.5546 Te
0.8640 0.1360 0.9454 Te
```

Main lines, sorted by position (2θ = 10–90°):
4.538 Å, intensity 45.5
3.391 Å, intensity 59.4
3.351 Å, intensity 94.5
3.216 Å, intensity 100.0
2.890 Å, intensity 77.0
2.856 Å, intensity 90.0
2.286 Å, intensity 97.3
2.263 Å, intensity 47.1
1.887 Å, intensity 36.1
1.608 Å, intensity 33.7